(1)
For Rb3Ag4Cl9, the GGA-PBE geometry in Alexandria gives the simulated XRD peak list in this record (Cu Kα X-rays).
Intensities are scaled so that the largest is 100.

Structure:
```
data_Rb3Ag4Cl9
_chemical_formula_sum 'Rb9 Ag12 Cl27'
_symmetry_space_group_name_H-M 'R 3 2'
_symmetry_Int_Tables_number 155
_symmetry_space_group_name_Hall 'R 3 2"'
_cell_length_a 7.2195
_cell_length_b 7.2195
_cell_length_c 29.7901
_cell_angle_alpha 90.00
_cell_angle_beta 90.00
_cell_angle_gamma 120.00
loop_
_atom_site_label
_atom_site_fract_x
_atom_site_fract_y
_atom_site_fract_z
Rb1 0.0000 0.0000 0.0000
Rb2 0.0000 0.0000 0.4210
Ag1 0.0000 0.0000 0.1642
Ag2 0.0000 0.0000 0.2805
Cl1 0.0000 0.4922 0.0000
Cl2 0.9996 0.5097 0.4404
```

Principal peaks in the range 10° ≤ 2θ ≤ 90°, sorted by position:
| Position (°2θ) | Rel. int. | (hkl) |
| --- | --- | --- |
| 15.4 | 45 | 0 1 2 |
| 24.7 | 100 | 1 1 0 |
| 25.3 | 66 | 1 0 7 |
| 35.6 | 85 | 0 2 7 |
| 36.8 | 34 | 1 1 9 |
| 43.4 | 22 | 3 0 0 |
| 43.8 | 30 | 2 1 7 |
| 44.3 | 22 | 2 0 11 |
| 50.6 | 38 | 2 2 0 |
| 63.4 | 14 | 4 0 7 |



(2)
For RbAgCl3, the GGA-PBE geometry in Alexandria gives the simulated XRD peak list in this record (Cu Kα X-rays).
Intensities are scaled so that the largest is 100.

Structure:
```
data_RbAgCl3
_chemical_formula_sum 'Rb4 Ag4 Cl12'
_symmetry_space_group_name_H-M 'I -4 m 2'
_symmetry_Int_Tables_number 119
_symmetry_space_group_name_Hall 'I -4 -2'
_cell_length_a 5.3856
_cell_length_b 5.3856
_cell_length_c 23.5598
_cell_angle_alpha 90.00
_cell_angle_beta 90.00
_cell_angle_gamma 90.00
loop_
_atom_site_label
_atom_site_fract_x
_atom_site_fract_y
_atom_site_fract_z
Rb1 0.0000 0.0000 0.0932
Ag1 0.0000 0.0000 0.5000
Ag2 0.0000 0.5000 0.2500
Cl1 0.0000 0.2421 0.3409
Cl2 0.0000 0.5000 0.5055
```

Principal peaks in the range 10° ≤ 2θ ≤ 90°, sorted by position:
| Position (°2θ) | Rel. int. | (hkl) |
| --- | --- | --- |
| 16.9 | 82 | 1 0 1 |
| 20.0 | 30 | 1 0 3 |
| 24.6 | 52 | 1 1 2 |
| 25.1 | 100 | 1 0 5 |
| 27.9 | 32 | 1 1 4 |
| 31.3 | 48 | 1 0 7 |
| 33.3 | 57 | 2 0 0 |
| 39.1 | 40 | 2 1 3 |
| 42.1 | 51 | 2 1 5 |
| 45.6 | 30 | 2 0 8 |



(3)
For Rb2Ag3Cl5, the GGA-PBE geometry in Alexandria gives the simulated XRD peak list in this record (Cu Kα X-rays).
Intensities are scaled so that the largest is 100.

Structure:
```
data_Rb2Ag3Cl5
_chemical_formula_sum 'Rb4 Ag6 Cl10'
_symmetry_space_group_name_H-M 'C 1 2/m 1'
_symmetry_Int_Tables_number 12
_symmetry_space_group_name_Hall '-C 2y'
_cell_length_a 14.9715
_cell_length_b 4.3252
_cell_length_c 9.3911
_cell_angle_alpha 90.00
_cell_angle_beta 112.82
_cell_angle_gamma 90.00
loop_
_atom_site_label
_atom_site_fract_x
_atom_site_fract_y
_atom_site_fract_z
Rb1 0.1711 0.0000 0.2092
Ag1 0.0000 0.0000 0.5000
Ag2 0.0610 0.5000 0.7661
Cl1 0.0000 0.5000 0.0000
Cl2 0.1117 0.5000 0.4534
Cl3 0.1655 0.0000 0.8231
```

Principal peaks in the range 10° ≤ 2θ ≤ 90°, sorted by position:
| Position (°2θ) | Rel. int. | (hkl) |
| --- | --- | --- |
| 12.8 | 68 | 2 0 0 |
| 12.9 | 48 | 2 0 -1 |
| 23.8 | 55 | 4 0 -1 |
| 25.0 | 44 | 1 1 1 |
| 28.3 | 36 | 3 1 0 |
| 30.3 | 100 | 3 1 -2 |
| 32.7 | 75 | 3 1 1 |
| 35.8 | 38 | 1 1 -3 |
| 41.8 | 65 | 0 2 0 |
| 48.6 | 36 | 8 0 -2 |



(4)
For Rb2Ag3Cl8, the GGA-PBE geometry in Alexandria gives the simulated XRD peak list in this record (Cu Kα X-rays).
Intensities are scaled so that the largest is 100.

Structure:
```
data_Rb2Ag3Cl8
_chemical_formula_sum 'Rb2 Ag3 Cl8'
_symmetry_space_group_name_H-M 'P 4/m m m'
_symmetry_Int_Tables_number 123
_symmetry_space_group_name_Hall '-P 4 2'
_cell_length_a 5.0569
_cell_length_b 5.0569
_cell_length_c 14.9638
_cell_angle_alpha 90.00
_cell_angle_beta 90.00
_cell_angle_gamma 90.00
loop_
_atom_site_label
_atom_site_fract_x
_atom_site_fract_y
_atom_site_fract_z
Rb1 0.0000 0.0000 0.1880
Ag1 0.5000 0.5000 0.0000
Ag2 0.5000 0.5000 0.3496
Cl1 0.0000 0.5000 0.0000
Cl2 0.0000 0.5000 0.3485
Cl3 0.5000 0.5000 0.1650
```

Principal peaks in the range 10° ≤ 2θ ≤ 90°, sorted by position:
| Position (°2θ) | Rel. int. | (hkl) |
| --- | --- | --- |
| 17.5 | 40 | 1 0 0 |
| 17.8 | 34 | 0 0 3 |
| 24.9 | 39 | 1 1 0 |
| 25.1 | 100 | 1 0 3 |
| 35.5 | 74 | 2 0 0 |
| 36.0 | 27 | 0 0 6 |
| 44.0 | 44 | 2 1 3 |
| 51.1 | 24 | 2 2 0 |
| 51.5 | 35 | 2 0 6 |
| 57.7 | 18 | 3 0 3 |



(5)
For RbAg3Cl6, the GGA-PBE geometry in Alexandria gives the simulated XRD peak list in this record (Cu Kα X-rays).
Intensities are scaled so that the largest is 100.

Structure:
```
data_RbAg3Cl6
_chemical_formula_sum 'Rb2 Ag6 Cl12'
_symmetry_space_group_name_H-M 'C m m m'
_symmetry_Int_Tables_number 65
_symmetry_space_group_name_Hall '-C 2 2'
_cell_length_a 9.3472
_cell_length_b 13.7435
_cell_length_c 4.3153
_cell_angle_alpha 90.00
_cell_angle_beta 90.00
_cell_angle_gamma 90.00
loop_
_atom_site_label
_atom_site_fract_x
_atom_site_fract_y
_atom_site_fract_z
Rb1 0.0000 0.0000 0.0000
Ag1 0.0000 0.5000 0.0000
Ag2 0.2500 0.2500 0.5000
Cl1 0.0000 0.1825 0.5000
Cl2 0.1861 0.3744 0.0000
```

Principal peaks in the range 10° ≤ 2θ ≤ 90°, sorted by position:
| Position (°2θ) | Rel. int. | (hkl) |
| --- | --- | --- |
| 23.0 | 72 | 2 2 0 |
| 24.4 | 100 | 0 2 1 |
| 28.1 | 19 | 2 0 1 |
| 38.5 | 16 | 4 0 0 |
| 38.6 | 74 | 2 4 1 |
| 41.9 | 21 | 0 0 2 |
| 44.0 | 21 | 2 6 0 |
| 46.1 | 34 | 4 2 1 |
| 48.3 | 19 | 2 2 2 |
| 62.4 | 14 | 2 6 2 |



(6)
For Rb2AgCl7, the GGA-PBE geometry in Alexandria gives the simulated XRD peak list in this record (Cu Kα X-rays).
Intensities are scaled so that the largest is 100.

Structure:
```
data_Rb2AgCl7
_chemical_formula_sum 'Rb4 Ag2 Cl14'
_symmetry_space_group_name_H-M 'C 1 2/m 1'
_symmetry_Int_Tables_number 12
_symmetry_space_group_name_Hall '-C 2y'
_cell_length_a 11.8357
_cell_length_b 7.0507
_cell_length_c 8.9228
_cell_angle_alpha 90.00
_cell_angle_beta 118.68
_cell_angle_gamma 90.00
loop_
_atom_site_label
_atom_site_fract_x
_atom_site_fract_y
_atom_site_fract_z
Rb1 0.2274 0.0000 0.2450
Ag1 0.0000 0.5000 0.0000
Cl1 0.0000 0.0000 0.5000
Cl2 0.0562 0.2653 0.8624
Cl3 0.2221 0.0000 0.6235
```

Principal peaks in the range 10° ≤ 2θ ≤ 90°, sorted by position:
| Position (°2θ) | Rel. int. | (hkl) |
| --- | --- | --- |
| 11.3 | 38 | 0 0 1 |
| 15.3 | 29 | 2 0 -1 |
| 20.9 | 32 | 2 0 -2 |
| 21.3 | 100 | 1 1 1 |
| 25.3 | 25 | 0 2 0 |
| 25.9 | 40 | 3 1 -1 |
| 33.0 | 78 | 2 2 -2 |
| 33.6 | 45 | 1 1 -3 |
| 34.6 | 24 | 4 0 0 |
| 50.1 | 24 | 1 3 -3 |